The following is a simulated powder X-ray diffraction pattern of PaGa7. It was derived from a DFT-relaxed cell (PBE, Alexandria), using Cu Kα (weighted mean of Kα1 and Kα2).

Main lines, by intensity (15 to 90 degrees two-theta):
2θ = 37.30°, 2.411 Å, I 100, (1 1 4)
2θ = 39.28°, 2.294 Å, I 46, (2 0 0)
2θ = 69.91°, 1.346 Å, I 34, (3 1 4)
2θ = 20.32°, 4.371 Å, I 24, (1 0 1)
2θ = 56.76°, 1.622 Å, I 16, (2 2 0)
2θ = 65.93°, 1.417 Å, I 15, (2 0 8)
2θ = 30.21°, 2.958 Å, I 14, (1 1 2)
2θ = 36.82°, 2.441 Å, I 9, (1 0 5)
2θ = 79.51°, 1.205 Å, I 9, (2 2 8)
2θ = 50.66°, 1.802 Å, I 8, (0 0 8)

Atomic structure:
```
data_PaGa7
_chemical_formula_sum 'Pa2 Ga14'
_cell_length_a 4.587
_cell_length_b 4.587
_cell_length_c 14.414
_cell_angle_alpha 90.00
_cell_angle_beta 90.00
_cell_angle_gamma 90.00
_space_group_name_H-M_alt 'I 4/m m m'
_space_group_IT_number 139
_space_group_name_Hall '-I 4 2'
loop_
_atom_site_label
_atom_site_type_symbol
_atom_site_fract_x
_atom_site_fract_y
_atom_site_fract_z
_atom_site_occupancy
Pa1 Pa 0.000 0.000 0.000 1
Ga1 Ga 0.000 0.000 0.236 1
Ga2 Ga 0.000 0.000 0.500 1
Ga3 Ga 0.000 0.500 0.138 1
```